# Li3Ac3Ag2
Calculated XRD peak list, copper Kα. Input: DFT lattice parameters and positions (PBE).
Lines closer than 0.1° are merged.

Main lines, sorted by position (15° ≤ 2θ ≤ 90°):
| Position (°2θ) | I (rel.) |
| --- | --- |
| 20.94 | 53 |
| 23.45 | 61 |
| 25.97 | 51 |
| 29.35 | 66 |
| 31.18 | 100 |
| 34.47 | 48 |
| 34.86 | 45 |
| 48.06 | 52 |

Crystal structure
abc: 8.4896 17.4559 6.1923
angles: 90.00 90.00 90.00
Sites, in units of the cell vectors:
Li 0.1690 0.0326 0.0952
Li 0.1690 0.4674 0.0952
Li 0.1809 0.7500 0.1104
Li 0.3191 0.2500 0.6104
Li 0.3310 0.5326 0.5952
Li 0.3310 0.9674 0.5952
Li 0.6690 0.0326 0.4048
Li 0.6690 0.4674 0.4048
Li 0.6809 0.7500 0.3896
Li 0.8191 0.2500 0.8896
Li 0.8310 0.5326 0.9048
Li 0.8310 0.9674 0.9048
Ac 0.0281 0.1107 0.6109
Ac 0.0281 0.3893 0.6109
Ac 0.1693 0.2500 0.1183
Ac 0.3307 0.7500 0.6183
Ac 0.4719 0.6107 0.1109
Ac 0.4719 0.8893 0.1109
Ac 0.5281 0.1107 0.8891
Ac 0.5281 0.3893 0.8891
Ac 0.6693 0.2500 0.3817
Ac 0.8307 0.7500 0.8817
Ac 0.9719 0.6107 0.3891
Ac 0.9719 0.8893 0.3891
Ag 0.1200 0.6101 0.8822
Ag 0.1200 0.8899 0.8822
Ag 0.3800 0.1101 0.3822
Ag 0.3800 0.3899 0.3822
Ag 0.6200 0.6101 0.6178
Ag 0.6200 0.8899 0.6178
Ag 0.8800 0.1101 0.1178
Ag 0.8800 0.3899 0.1178


# Li2AcAg8
Calculated XRD peak list, copper Kα. Input: DFT lattice parameters and positions (PBE).
Lines closer than 0.1° are merged.

Main lines, sorted by position (15° ≤ 2θ ≤ 90°):
| Position (°2θ) | I (rel.) |
| --- | --- |
| 18.87 | 26 |
| 19.43 | 46 |
| 29.33 | 25 |
| 32.66 | 31 |
| 38.28 | 100 |
| 46.86 | 32 |
| 60.93 | 22 |
| 81.22 | 21 |

Crystal structure
abc: 5.4840 5.4840 9.1364
angles: 90.00 90.00 90.00
Sites, in units of the cell vectors:
Li 0.0000 0.5000 0.0000
Li 0.5000 0.0000 0.0000
Ac 0.0000 0.0000 0.5000
Ag 0.2524 0.2524 0.2171
Ag 0.2524 0.2524 0.7829
Ag 0.2524 0.7476 0.2171
Ag 0.2524 0.7476 0.7829
Ag 0.7476 0.2524 0.2171
Ag 0.7476 0.2524 0.7829
Ag 0.7476 0.7476 0.2171
Ag 0.7476 0.7476 0.7829


# Li2AcAg9
Calculated XRD peak list, copper Kα. Input: DFT lattice parameters and positions (PBE).
Lines closer than 0.1° are merged.

Main lines, sorted by position (15° ≤ 2θ ≤ 90°):
| Position (°2θ) | I (rel.) |
| --- | --- |
| 23.23 | 11 |
| 30.89 | 34 |
| 33.00 | 13 |
| 35.07 | 100 |
| 40.80 | 56 |
| 54.88 | 18 |
| 69.22 | 19 |
| 70.60 | 18 |

Crystal structure
abc: 8.8441 8.8441 3.4385
angles: 90.00 90.00 120.00
Sites, in units of the cell vectors:
Li 0.3333 0.6667 0.0000
Li 0.6667 0.3333 0.0000
Ac 0.0000 0.0000 0.0000
Ag 0.0000 0.5000 0.0000
Ag 0.1924 0.3849 0.5000
Ag 0.1924 0.8076 0.5000
Ag 0.3849 0.1924 0.5000
Ag 0.5000 0.0000 0.0000
Ag 0.5000 0.5000 0.0000
Ag 0.6151 0.8076 0.5000
Ag 0.8076 0.1924 0.5000
Ag 0.8076 0.6151 0.5000


# LiAc5Ag4
Calculated XRD peak list, copper Kα. Input: DFT lattice parameters and positions (PBE).
Lines closer than 0.1° are merged.

Main lines, sorted by position (15° ≤ 2θ ≤ 90°):
| Position (°2θ) | I (rel.) |
| --- | --- |
| 22.26 | 7 |
| 22.37 | 13 |
| 31.79 | 100 |
| 45.65 | 12 |
| 56.54 | 13 |
| 56.68 | 26 |
| 66.37 | 8 |
| 75.64 | 11 |

Crystal structure
abc: 3.9751 3.9751 19.9652
angles: 90.00 90.00 90.00
Sites, in units of the cell vectors:
Li 0.0000 0.0000 0.0000
Ac 0.5000 0.5000 0.1064
Ac 0.5000 0.5000 0.3018
Ac 0.5000 0.5000 0.5000
Ac 0.5000 0.5000 0.6982
Ac 0.5000 0.5000 0.8936
Ag 0.0000 0.0000 0.2004
Ag 0.0000 0.0000 0.4011
Ag 0.0000 0.0000 0.5989
Ag 0.0000 0.0000 0.7996


# LiAc2Ag
Calculated XRD peak list, copper Kα. Input: DFT lattice parameters and positions (PBE).
Lines closer than 0.1° are merged.

Main lines, sorted by position (15° ≤ 2θ ≤ 90°):
| Position (°2θ) | I (rel.) |
| --- | --- |
| 18.68 | 23 |
| 26.21 | 40 |
| 28.33 | 57 |
| 28.59 | 100 |
| 30.02 | 24 |
| 34.63 | 28 |
| 35.81 | 26 |
| 56.96 | 26 |

Crystal structure
abc: 4.1421 6.4924 6.4924
angles: 47.02 90.00 90.00
Sites, in units of the cell vectors:
Li 0.0000 0.0000 0.0000
Ac 0.0000 0.2938 0.2938
Ac 0.5000 0.5860 0.5860
Ag 0.5000 0.8634 0.8634


# Li2Ac3Ag7
Calculated XRD peak list, copper Kα. Input: DFT lattice parameters and positions (PBE).
Lines closer than 0.1° are merged.

Main lines, sorted by position (15° ≤ 2θ ≤ 90°):
| Position (°2θ) | I (rel.) |
| --- | --- |
| 21.01 | 25 |
| 23.64 | 17 |
| 31.28 | 100 |
| 31.97 | 71 |
| 32.89 | 18 |
| 36.97 | 33 |
| 40.00 | 33 |
| 55.60 | 20 |

Crystal structure
abc: 4.8665 4.5077 13.8067
angles: 90.00 98.12 90.00
Sites, in units of the cell vectors:
Li 0.1270 0.0000 0.2612
Li 0.8730 0.0000 0.7388
Ac 0.0000 0.0000 0.0000
Ac 0.3032 0.5000 0.6421
Ac 0.6968 0.5000 0.3579
Ag 0.1826 0.5000 0.1703
Ag 0.2310 0.0000 0.4506
Ag 0.4139 0.0000 0.8304
Ag 0.5000 0.5000 0.0000
Ag 0.5861 0.0000 0.1696
Ag 0.7690 0.0000 0.5494
Ag 0.8174 0.5000 0.8297


# Li2AcAg4
Calculated XRD peak list, copper Kα. Input: DFT lattice parameters and positions (PBE).
Lines closer than 0.1° are merged.

Main lines, sorted by position (15° ≤ 2θ ≤ 90°):
| Position (°2θ) | I (rel.) |
| --- | --- |
| 27.84 | 60 |
| 30.98 | 61 |
| 32.13 | 100 |
| 36.42 | 23 |
| 38.73 | 34 |
| 39.36 | 47 |
| 48.40 | 44 |
| 64.13 | 22 |

Crystal structure
abc: 9.6784 9.6784 9.6784
angles: 157.62 152.20 35.98
Sites, in units of the cell vectors:
Li 0.1898 0.1898 0.0000
Li 0.8102 0.8102 0.0000
Ac 0.5000 0.0000 0.5000
Ag 0.0787 0.5787 0.5000
Ag 0.3369 0.3369 0.0000
Ag 0.6631 0.6631 0.0000
Ag 0.9213 0.4213 0.5000


# Li3Ac2MgAg12
Calculated XRD peak list, copper Kα. Input: DFT lattice parameters and positions (PBE).
Lines closer than 0.1° are merged.

Main lines, sorted by position (15° ≤ 2θ ≤ 90°):
| Position (°2θ) | I (rel.) |
| --- | --- |
| 15.46 | 35 |
| 27.87 | 26 |
| 32.65 | 23 |
| 32.82 | 100 |
| 35.30 | 30 |
| 38.62 | 42 |
| 45.98 | 24 |
| 54.53 | 24 |

Crystal structure
abc: 11.0653 11.0653 11.0653
angles: 35.42 35.42 35.42
Sites, in units of the cell vectors:
Li 0.0000 0.5000 0.5000
Li 0.5000 0.0000 0.5000
Li 0.5000 0.5000 0.0000
Ac 0.1397 0.1397 0.1397
Ac 0.8603 0.8603 0.8603
Mg 0.5000 0.5000 0.5000
Ag 0.0941 0.0941 0.6841
Ag 0.0936 0.6067 0.6067
Ag 0.0941 0.6841 0.0941
Ag 0.3159 0.9059 0.9059
Ag 0.3933 0.3933 0.9064
Ag 0.3933 0.9064 0.3933
Ag 0.6067 0.0936 0.6067
Ag 0.6067 0.6067 0.0936
Ag 0.6841 0.0941 0.0941
Ag 0.9059 0.3159 0.9059
Ag 0.9064 0.3933 0.3933
Ag 0.9059 0.9059 0.3159


# LiAc2Mg12Ag3
Calculated XRD peak list, copper Kα. Input: DFT lattice parameters and positions (PBE).
Lines closer than 0.1° are merged.

Main lines, sorted by position (15° ≤ 2θ ≤ 90°):
| Position (°2θ) | I (rel.) |
| --- | --- |
| 17.99 | 95 |
| 27.61 | 100 |
| 28.31 | 54 |
| 30.36 | 62 |
| 30.98 | 57 |
| 35.21 | 53 |
| 36.45 | 79 |
| 54.92 | 33 |

Crystal structure
abc: 13.1110 13.1110 13.1110
angles: 29.55 29.55 29.55
Sites, in units of the cell vectors:
Li 0.0000 0.0000 0.0000
Ac 0.3604 0.3604 0.3604
Ac 0.6396 0.6396 0.6396
Mg 0.1075 0.1075 0.6124
Mg 0.1075 0.6124 0.1075
Mg 0.1473 0.6022 0.6022
Mg 0.3876 0.8925 0.8925
Mg 0.3978 0.3978 0.8527
Mg 0.3978 0.8527 0.3978
Mg 0.6022 0.1473 0.6022
Mg 0.6022 0.6022 0.1473
Mg 0.6124 0.1075 0.1075
Mg 0.8527 0.3978 0.3978
Mg 0.8925 0.3876 0.8925
Mg 0.8925 0.8925 0.3876
Ag 0.0000 0.0000 0.5000
Ag 0.0000 0.5000 0.0000
Ag 0.5000 0.0000 0.0000


# LiAc2MgAg6
Calculated XRD peak list, copper Kα. Input: DFT lattice parameters and positions (PBE).
Lines closer than 0.1° are merged.

Main lines, sorted by position (15° ≤ 2θ ≤ 90°):
| Position (°2θ) | I (rel.) |
| --- | --- |
| 25.34 | 13 |
| 31.17 | 100 |
| 36.14 | 56 |
| 52.07 | 32 |
| 61.80 | 13 |
| 61.97 | 26 |
| 85.18 | 8 |
| 87.94 | 8 |

Crystal structure
abc: 7.0267 7.0267 7.0267
angles: 120.05 119.80 90.14
Sites, in units of the cell vectors:
Li 0.0000 0.0000 0.0000
Ac 0.2500 0.7500 0.5000
Ac 0.7500 0.2500 0.5000
Mg 0.5000 0.5000 0.0000
Ag 0.2370 0.2370 0.0000
Ag 0.2371 0.2370 0.4741
Ag 0.2371 0.7630 0.0000
Ag 0.7629 0.2370 0.0000
Ag 0.7630 0.7630 0.0000
Ag 0.7629 0.7630 0.5259


# Li2Ac3AgPd9
Calculated XRD peak list, copper Kα. Input: DFT lattice parameters and positions (PBE).
Lines closer than 0.1° are merged.

Main lines, sorted by position (15° ≤ 2θ ≤ 90°):
| Position (°2θ) | I (rel.) |
| --- | --- |
| 25.68 | 20 |
| 28.45 | 19 |
| 32.19 | 100 |
| 36.64 | 25 |
| 38.70 | 83 |
| 52.78 | 30 |
| 58.87 | 24 |
| 65.97 | 22 |

Crystal structure
abc: 6.9374 6.9374 7.3581
angles: 90.00 90.00 120.00
Sites, in units of the cell vectors:
Li 0.3333 0.6667 0.1187
Li 0.6667 0.3333 0.8813
Ac 0.0000 0.0000 0.0000
Ac 0.3333 0.6667 0.6651
Ac 0.6667 0.3333 0.3349
Ag 0.0000 0.0000 0.5000
Pd 0.0000 0.5000 0.0000
Pd 0.1892 0.3784 0.3230
Pd 0.1892 0.8108 0.3230
Pd 0.3784 0.1892 0.6770
Pd 0.5000 0.0000 0.0000
Pd 0.5000 0.5000 0.0000
Pd 0.6216 0.8108 0.3230
Pd 0.8108 0.1892 0.6770
Pd 0.8108 0.6216 0.6770


# LiAcZnAg
Calculated XRD peak list, copper Kα. Input: DFT lattice parameters and positions (PBE).
Lines closer than 0.1° are merged.

Main lines, sorted by position (15° ≤ 2θ ≤ 90°):
| Position (°2θ) | I (rel.) |
| --- | --- |
| 22.85 | 100 |
| 31.73 | 52 |
| 36.05 | 45 |
| 36.19 | 22 |
| 38.86 | 58 |
| 52.47 | 14 |
| 54.08 | 21 |
| 68.47 | 14 |

Crystal structure
abc: 4.6318 4.6318 5.9301
angles: 113.13 113.13 60.16
Sites, in units of the cell vectors:
Li 0.0000 0.0000 0.0000
Ac 0.4971 0.4971 0.4915
Zn 0.2927 0.2927 0.8792
Ag 0.6980 0.6980 0.0938